Entry 1:
Starting from a DFT-relaxed cell (GGA-PBE, Alexandria), the powder XRD pattern of Ba2YMg3Pb4 was simulated for Cu Kα (λ = 1.5418 Å).
Neutral-atom scattering factors, no anomalous dispersion.

Main lines, by angle (2θ from 15° to 90°):
- 2θ 21.57, 4.119 Å, I = 18
- 2θ 22.49, 3.954 Å, I = 40
- 2θ 25.52, 3.490 Å, I = 41
- 2θ 27.74, 3.216 Å, I = 34
- 2θ 28.47, 3.135 Å, I = 100
- 2θ 34.87, 2.573 Å, I = 62
- 2θ 38.22, 2.355 Å, I = 32
- 2θ 40.49, 2.228 Å, I = 22
- 2θ 45.13, 2.009 Å, I = 18
- 2θ 50.14, 1.819 Å, I = 22
- 2θ 54.48, 1.684 Å, I = 19
- 2θ 58.67, 1.574 Å, I = 27

Structural model:
Unit cell a=5.146 b=5.146 c=12.357 alpha=90.00 beta=90.00 gamma=90.00
Positions (direct):
1 Ba 0.000 0.500 0.232
2 Ba 0.500 0.000 0.768
3 Y 0.000 0.000 0.500
4 Mg 0.000 0.500 0.875
5 Mg 0.500 0.000 0.125
6 Mg 0.500 0.500 0.500
7 Pb 0.000 0.000 0.000
8 Pb 0.000 0.500 0.640
9 Pb 0.500 0.000 0.360
10 Pb 0.500 0.500 0.000

Entry 2:
Starting from a DFT-relaxed cell (GGA-PBE, Alexandria), the powder XRD pattern of KUGe2O8 was simulated for Cu Kα (λ = 1.5418 Å).
Neutral-atom scattering factors, no anomalous dispersion.

Main lines, by angle (2θ from 15° to 90°):
- 2θ 17.17, 5.163 Å, I = 45
- 2θ 18.42, 4.817 Å, I = 49
- 2θ 24.38, 3.651 Å, I = 100
- 2θ 30.73, 2.910 Å, I = 20
- 2θ 32.89, 2.723 Å, I = 71
- 2θ 34.75, 2.582 Å, I = 22
- 2θ 37.34, 2.409 Å, I = 13
- 2θ 48.60, 1.873 Å, I = 60
- 2θ 49.96, 1.826 Å, I = 17
- 2θ 56.35, 1.633 Å, I = 15
- 2θ 61.12, 1.516 Å, I = 18
- 2θ 72.26, 1.307 Å, I = 15

Structural model:
Unit cell a=6.077 b=6.077 c=6.077 alpha=106.15 beta=106.15 gamma=116.35
Positions (direct):
1 K 0.000 0.000 0.000
2 U 0.250 0.750 0.500
3 Ge 0.500 0.500 0.000
4 Ge 0.750 0.250 0.500
5 O 0.347 0.140 0.793
6 O 0.347 0.554 0.207
7 O 0.383 0.052 0.332
8 O 0.446 0.653 0.793
9 O 0.720 0.052 0.668
10 O 0.860 0.653 0.207
11 O 0.948 0.280 0.332
12 O 0.948 0.617 0.668